[1]
For LiNpH8Rh4, a GGA-PBE-relaxed structure gives the theoretical X-ray powder pattern in this record (Cu Ka).
Kinematic intensities with the Lorentz-polarization factor, no thermal factor.

Structural model:
```
data_LiNpH8Rh4
_cell_length_a 5.6393
_cell_length_b 5.6393
_cell_length_c 14.4896
_cell_angle_alpha 90.00
_cell_angle_beta 90.00
_cell_angle_gamma 120.00
_symmetry_space_group_name_H-M 'R 3 m'
_symmetry_Int_Tables_number 160
_symmetry_space_group_name_Hall 'R 3 -2"'
loop_
_atom_site_label
_atom_site_fract_x
_atom_site_fract_y
_atom_site_fract_z
Li1 0.0000 0.0000 0.0000
Np1 0.0000 0.0000 0.6222
H1 0.0000 0.0000 0.3865
H2 0.0000 0.0000 0.8521
H3 0.0075 0.5037 0.4102
H4 0.0399 0.5199 0.8517
Rh1 0.0000 0.0000 0.2636
Rh2 0.0026 0.5013 0.1248
```

Most intense lines, 10° ≤ 2θ ≤ 90°, by angle:
2θ/deg  I/Imax  h k l
19.18  100.0  1 0 1
31.73  21.3  1 1 0
36.04  40.2  0 1 5
36.91  97.2  1 1 3
37.23  30.3  0 0 6
38.92  61.5  2 0 2
44.76  30.5  0 2 4
49.77  26.5  2 1 1
59.96  23.9  3 0 3
78.57  21.6  2 2 6

[2]
For Li10HO4, a GGA-PBE-relaxed structure gives the theoretical X-ray powder pattern in this record (Cu Ka).
Kinematic intensities with the Lorentz-polarization factor, no thermal factor.

Structural model:
```
data_Li10HO4
_cell_length_a 3.2524
_cell_length_b 3.2524
_cell_length_c 45.8273
_cell_angle_alpha 90.00
_cell_angle_beta 90.00
_cell_angle_gamma 120.00
_symmetry_space_group_name_H-M 'R -3 m'
_symmetry_Int_Tables_number 166
_symmetry_space_group_name_Hall '-R 3 2"'
loop_
_atom_site_label
_atom_site_fract_x
_atom_site_fract_y
_atom_site_fract_z
Li1 0.0000 0.0000 0.0443
Li2 0.0000 0.0000 0.1444
Li3 0.0000 0.0000 0.2593
Li4 0.0000 0.0000 0.3481
Li5 0.0000 0.0000 0.4357
H1 0.0000 0.0000 0.5000
O1 0.0000 0.0000 0.0886
O2 0.0000 0.0000 0.3038
```

Most intense lines, 10° ≤ 2θ ≤ 90°, by angle:
2θ/deg  I/Imax  h k l
11.59  43.5  0 0 6
29.23  28.6  0 0 15
33.28  100.0  0 1 5
35.25  27.3  0 0 18
35.52  25.6  0 1 8
46.64  10.1  0 1 17
51.41  22.3  0 1 20
56.59  97.2  1 1 0
68.46  13.9  1 1 18
84.19  9.5  2 0 23

[3]
For LiH2OsO4, a GGA-PBE-relaxed structure gives the theoretical X-ray powder pattern in this record (Cu Ka).
Kinematic intensities with the Lorentz-polarization factor, no thermal factor.

Structural model:
```
data_LiH2OsO4
_cell_length_a 4.9374
_cell_length_b 5.8620
_cell_length_c 7.0789
_cell_angle_alpha 90.00
_cell_angle_beta 90.00
_cell_angle_gamma 90.00
_symmetry_space_group_name_H-M 'I m m m'
_symmetry_Int_Tables_number 71
_symmetry_space_group_name_Hall '-I 2 2'
loop_
_atom_site_label
_atom_site_fract_x
_atom_site_fract_y
_atom_site_fract_z
Li1 0.0000 0.0000 0.0000
H1 0.0000 0.2240 0.5000
Os1 0.0000 0.5000 0.0000
O1 0.2426 0.2288 0.5000
```

Most intense lines, 10° ≤ 2θ ≤ 90°, by angle:
2θ/deg  I/Imax  h k l
19.66  100.0  0 1 1
21.95  71.8  1 0 1
23.56  57.6  1 1 0
25.16  54.4  0 0 2
34.74  43.3  1 1 2
37.89  40.9  1 2 1
41.70  24.3  2 1 1
48.19  16.2  2 2 0
55.13  21.3  2 2 2
57.50  16.6  3 0 1

[4]
For Li2PHO4, a GGA-PBE-relaxed structure gives the theoretical X-ray powder pattern in this record (Cu Ka).
Kinematic intensities with the Lorentz-polarization factor, no thermal factor.

Structural model:
```
data_Li2PHO4
_cell_length_a 6.5947
_cell_length_b 5.2228
_cell_length_c 4.8370
_cell_angle_alpha 90.00
_cell_angle_beta 90.00
_cell_angle_gamma 90.00
_symmetry_space_group_name_H-M 'P m n 21'
_symmetry_Int_Tables_number 31
loop_
_symmetry_equiv_pos_as_xyz
'x,y,z'
'-x+1/2,-y,z+1/2'
'-x,y,z'
'x+1/2,-y,z+1/2'
loop_
_atom_site_label
_atom_site_fract_x
_atom_site_fract_y
_atom_site_fract_z
Li1 0.2373 0.1678 0.0000
P1 0.0000 0.6671 0.9885
H1 0.0000 0.4988 0.4090
O1 0.0000 0.3823 0.9178
O2 0.0000 0.6751 0.3360
O3 0.1935 0.8088 0.9038
```

Most intense lines, 10° ≤ 2θ ≤ 90°, by angle:
2θ/deg  I/Imax  h k l
16.98  20.4  0 1 0
21.71  90.1  1 1 0
22.80  100.0  1 0 1
25.09  25.2  0 1 1
27.04  14.0  2 0 0
28.56  14.9  1 1 1
32.10  47.2  2 1 0
34.34  20.2  0 2 0
37.19  61.8  0 0 2
60.09  19.8  2 3 0

[5]
For Li4P5HO15, a GGA-PBE-relaxed structure gives the theoretical X-ray powder pattern in this record (Cu Ka).
Kinematic intensities with the Lorentz-polarization factor, no thermal factor.

Structural model:
```
data_Li4P5HO15
_cell_length_a 7.0460
_cell_length_b 7.3179
_cell_length_c 11.4870
_cell_angle_alpha 75.59
_cell_angle_beta 81.52
_cell_angle_gamma 84.08
_symmetry_space_group_name_H-M 'P -1'
_symmetry_Int_Tables_number 2
loop_
_symmetry_equiv_pos_as_xyz
'x,y,z'
'-x,-y,-z'
loop_
_atom_site_label
_atom_site_fract_x
_atom_site_fract_y
_atom_site_fract_z
Li1 0.1017 0.1392 0.0439
Li2 0.1158 0.1332 0.3096
Li3 0.2057 0.2039 0.5176
Li4 0.2280 0.2171 0.7553
P1 0.1094 0.5309 0.1358
P2 0.2066 0.6277 0.5493
P3 0.2927 0.7416 0.2743
P4 0.3459 0.7816 0.9389
P5 0.4280 0.8450 0.6704
H1 0.4814 0.2059 0.9185
O1 0.0352 0.7666 0.5544
O2 0.0612 0.3299 0.8814
O3 0.0872 0.3234 0.1574
O4 0.1431 0.9025 0.2509
O5 0.1865 0.4193 0.5947
O6 0.1911 0.9384 0.9363
O7 0.2208 0.5566 0.2442
O8 0.2721 0.5836 0.0176
O9 0.2817 0.0100 0.6578
O10 0.3205 0.6628 0.4134
O11 0.3645 0.1271 0.3763
O12 0.3707 0.6776 0.6178
O13 0.4162 0.7322 0.8128
O14 0.4660 0.1923 0.0142
O15 0.4950 0.7712 0.2091
```

Most intense lines, 10° ≤ 2θ ≤ 90°, by angle:
2θ/deg  I/Imax  h k l
18.51  100.0  1 -1 0
20.92  13.6  1 1 -1
25.19  13.7  0 2 0
26.41  15.9  1 2 1
27.81  48.7  1 2 2
28.86  70.8  1 0 -3
29.12  19.8  1 -2 0
29.41  16.9  2 -1 0
29.92  38.0  0 1 -3
32.49  33.7  1 1 4